This entry pairs a crystal structure of Dy4Ga12Mo with its computed powder diffraction line list. Radiation: Cu Kα (weighted mean of Kα1 and Kα2). Structure: a PBE-relaxed structure.
Peak positions follow from Bragg's law for the DFT cell and can differ from measured ones.

Structure:
```
data_Dy4Ga12Mo
_symmetry_space_group_name_H-M 'I m -3 m'
_symmetry_Int_Tables_number 229
_symmetry_space_group_name_Hall '-I 4 2 3'
_cell_length_a 8.6628
_cell_length_b 8.6628
_cell_length_c 8.6628
_cell_angle_alpha 90.00
_cell_angle_beta 90.00
_cell_angle_gamma 90.00
loop_
_atom_site_label
_atom_site_type_symbol
_atom_site_fract_x
_atom_site_fract_y
_atom_site_fract_z
_atom_site_occupancy
Dy1 Dy 0.2500 0.2500 0.2500 1
Ga1 Ga 0.0000 0.0000 0.2938 1
Ga2 Ga 0.0000 0.2500 0.5000 1
Mo1 Mo 0.0000 0.0000 0.0000 1
```

The 6 most intense peaks (2θ from 10° to 80°), by angle:
d_spacing, I_rel, index
3.063, 33, 2 2 0
2.501, 100, 2 2 2
2.166, 63, 4 0 0
1.531, 37, 4 4 0
1.306, 31, 6 2 2
1.250, 11, 4 4 4